The following is a theoretical powder diffractogram of Tb5Hg2Bi. It was derived from the PBE geometry in OQMD, using CuKα.
Neutral-atom scattering factors, no anomalous dispersion.

Structure:
Unit cell a=8.821 b=8.821 c=8.821 alpha=123.30 beta=123.30 gamma=84.38
Element x y z (fractional)
1 Tb 0.000 0.000 0.000
2 Tb 0.006 0.506 0.805
3 Tb 0.201 0.006 0.500
4 Tb 0.299 0.799 0.805
5 Tb 0.494 0.299 0.500
6 Tb 0.500 0.500 0.000
7 Tb 0.506 0.701 0.500
8 Tb 0.701 0.201 0.195
9 Tb 0.799 0.994 0.500
10 Tb 0.994 0.494 0.195
11 Hg 0.141 0.359 0.500
12 Hg 0.359 0.859 0.217
13 Hg 0.641 0.141 0.783
14 Hg 0.859 0.641 0.500
15 Bi 0.250 0.250 0.000
16 Bi 0.750 0.750 0.000

The 10 most intense peaks (5° ≤ 2θ ≤ 70°), low angle first:
30.2°, intensity 10; 31.3°, intensity 13; 31.5°, intensity 100; 33.8°, intensity 64; 34.8°, intensity 15; 42.1°, intensity 10; 48.6°, intensity 10; 49.5°, intensity 9; 63.5°, intensity 28; 67.3°, intensity 12

---

The following is a theoretical powder diffractogram of Li2TaNbIn2Os2. It was derived from the PBE geometry in OQMD, using CuKα.
Neutral-atom scattering factors, no anomalous dispersion.

Structure:
Unit cell a=4.507 b=4.507 c=6.372 alpha=90.00 beta=90.00 gamma=90.00
Element x y z (fractional)
1 Li 0.000 0.500 0.250
2 Li 0.500 0.000 0.750
3 Ta 0.000 0.000 0.500
4 Nb 0.500 0.500 0.000
5 In 0.000 0.000 0.000
6 In 0.500 0.500 0.500
7 Os 0.000 0.500 0.748
8 Os 0.500 0.000 0.252

The 10 most intense peaks (5° ≤ 2θ ≤ 70°), low angle first:
13.9°, intensity 2; 19.7°, intensity 2; 24.2°, intensity 41; 28.0°, intensity 3; 31.4°, intensity 1; 34.5°, intensity 1; 40.0°, intensity 100; 47.3°, intensity 21; 57.9°, intensity 17; 63.6°, intensity 9

---

The following is a theoretical powder diffractogram of Tm2CICl. It was derived from the PBE geometry in OQMD, using CuKα.
Neutral-atom scattering factors, no anomalous dispersion.

Structure:
Unit cell a=3.736 b=3.736 c=10.059 alpha=90.00 beta=90.00 gamma=120.00
Element x y z (fractional)
1 Tm 0.000 0.000 0.000
2 Tm 0.333 0.667 0.258
3 C 0.667 0.333 0.129
4 I 0.000 0.000 0.474
5 Cl 0.333 0.667 0.831

The 10 most intense peaks (5° ≤ 2θ ≤ 70°), low angle first:
8.8°, intensity 61; 27.6°, intensity 29; 29.0°, intensity 13; 32.9°, intensity 100; 35.7°, intensity 13; 38.7°, intensity 17; 45.7°, intensity 17; 48.8°, intensity 24; 60.1°, intensity 18; 61.9°, intensity 16

---

The following is a theoretical powder diffractogram of Ac4CdIr2. It was derived from the PBE geometry in OQMD, using CuKα.
Neutral-atom scattering factors, no anomalous dispersion.

Structure:
Unit cell a=7.627 b=7.627 c=14.944 alpha=90.00 beta=90.00 gamma=146.42
Element x y z (fractional)
1 Ac 0.000 0.000 0.000
2 Ac 0.000 0.000 0.500
3 Ac 0.265 0.735 0.608
4 Ac 0.265 0.735 0.892
5 Ac 0.435 0.565 0.250
6 Ac 0.565 0.435 0.750
7 Ac 0.735 0.265 0.108
8 Ac 0.735 0.265 0.392
9 Cd 0.115 0.885 0.250
10 Cd 0.885 0.115 0.750
11 Ir 0.368 0.632 0.064
12 Ir 0.368 0.632 0.436
13 Ir 0.632 0.368 0.564
14 Ir 0.632 0.368 0.936

The 10 most intense peaks (5° ≤ 2θ ≤ 70°), low angle first:
26.8°, intensity 78; 27.3°, intensity 31; 28.0°, intensity 100; 29.8°, intensity 69; 36.9°, intensity 35; 41.0°, intensity 54; 41.3°, intensity 79; 42.1°, intensity 24; 49.6°, intensity 30; 67.8°, intensity 24

---

The following is a theoretical powder diffractogram of MgAl2CoCu4. It was derived from the PBE geometry in OQMD, using CuKα.
Neutral-atom scattering factors, no anomalous dispersion.

Structure:
Unit cell a=7.234 b=7.234 c=7.234 alpha=131.98 beta=131.98 gamma=70.26
Element x y z (fractional)
1 Mg 0.375 0.625 0.750
2 Mg 0.625 0.375 0.250
3 Al 0.127 0.377 0.750
4 Al 0.377 0.127 0.250
5 Al 0.623 0.873 0.750
6 Al 0.873 0.623 0.250
7 Co 0.125 0.875 0.250
8 Co 0.875 0.125 0.750
9 Cu 0.000 0.236 0.236
10 Cu 0.000 0.764 0.764
11 Cu 0.236 0.000 0.736
12 Cu 0.236 0.500 0.236
13 Cu 0.500 0.236 0.736
14 Cu 0.500 0.764 0.264
15 Cu 0.764 0.000 0.264
16 Cu 0.764 0.500 0.764

The 10 most intense peaks (5° ≤ 2θ ≤ 70°), low angle first:
16.8°, intensity 9; 26.2°, intensity 3; 30.2°, intensity 7; 30.4°, intensity 14; 41.2°, intensity 2; 43.4°, intensity 100; 43.5°, intensity 49; 53.9°, intensity 5; 62.8°, intensity 8; 63.2°, intensity 15

---

The following is a theoretical powder diffractogram of Cu7Ag3. It was derived from the PBE geometry in OQMD, using CuKα.
Neutral-atom scattering factors, no anomalous dispersion.

Structure:
Unit cell a=7.477 b=7.477 c=6.878 alpha=103.22 beta=103.22 gamma=21.43
Element x y z (fractional)
1 Cu 0.000 0.000 0.000
2 Cu 0.003 0.003 0.522
3 Cu 0.205 0.205 0.068
4 Cu 0.407 0.407 0.717
5 Cu 0.420 0.420 0.216
6 Cu 0.590 0.590 0.815
7 Cu 0.823 0.823 0.942
8 Ag 0.209 0.209 0.653
9 Ag 0.607 0.607 0.300
10 Ag 0.808 0.808 0.392

The 10 most intense peaks (5° ≤ 2θ ≤ 70°), low angle first:
35.0°, intensity 7; 36.1°, intensity 5; 39.4°, intensity 7; 40.5°, intensity 5; 41.1°, intensity 98; 41.8°, intensity 100; 45.5°, intensity 78; 53.3°, intensity 18; 65.3°, intensity 10; 67.4°, intensity 12

---

Please write out number 2 again, unchanged.
The following is a theoretical powder diffractogram of Li2TaNbIn2Os2. It was derived from the PBE geometry in OQMD, using CuKα.
Neutral-atom scattering factors, no anomalous dispersion.

Structure:
Unit cell a=4.507 b=4.507 c=6.372 alpha=90.00 beta=90.00 gamma=90.00
Element x y z (fractional)
1 Li 0.000 0.500 0.250
2 Li 0.500 0.000 0.750
3 Ta 0.000 0.000 0.500
4 Nb 0.500 0.500 0.000
5 In 0.000 0.000 0.000
6 In 0.500 0.500 0.500
7 Os 0.000 0.500 0.748
8 Os 0.500 0.000 0.252

The 10 most intense peaks (5° ≤ 2θ ≤ 70°), low angle first:
13.9°, intensity 2; 19.7°, intensity 2; 24.2°, intensity 41; 28.0°, intensity 3; 31.4°, intensity 1; 34.5°, intensity 1; 40.0°, intensity 100; 47.3°, intensity 21; 57.9°, intensity 17; 63.6°, intensity 9